Computed X-ray powder pattern of BaCa2Ag4 for Cu Kα X-rays, from a crystal structure in Alexandria, relaxed with PBE.
Lines closer than 0.1° are merged.

Cell and atoms:
```
BaCa2Ag4
1.0
4.2224 0.0000 0.0000
0.0000 4.7476 0.0000
0.0000 0.0000 20.0064
Ba Ca Ag
2 4 8
Direct
0.0000 0.0000 0.0000
0.5000 0.5000 0.5000
0.0000 0.5000 0.1891
0.0000 0.5000 0.8109
0.5000 0.0000 0.3109
0.5000 0.0000 0.6891
0.0000 0.0000 0.4279
0.0000 0.0000 0.5721
0.0000 0.5000 0.3473
0.0000 0.5000 0.6527
0.5000 0.0000 0.1527
0.5000 0.0000 0.8473
0.5000 0.5000 0.0721
0.5000 0.5000 0.9279
```

Largest 6 diffraction maxima, low angle first, 2θ from 5° to 70°:
2θ/deg  I (rel.)  index
8.84  39  0 0 2
29.69  100  1 1 2
30.79  31  1 0 5
36.70  60  0 1 7
37.90  34  0 2 0
57.65  31  2 1 7

Computed X-ray powder pattern of YHoThMg for Cu Kα X-rays, from a crystal structure in Alexandria, relaxed with PBE.
Lines closer than 0.1° are merged.

Cell and atoms:
```
YHoThMg
1.0
3.5931 0.0000 0.0000
0.0000 3.5931 0.0000
0.0000 0.0000 9.1753
Y Ho Th Mg
1 1 1 1
Direct
0.0000 0.0000 0.0000
0.0000 0.0000 0.4771
0.5000 0.5000 0.7362
0.5000 0.5000 0.2401
```

Largest 6 diffraction maxima, low angle first, 2θ from 5° to 70°:
2θ/deg  I (rel.)  index
9.64  54  0 0 1
26.64  31  1 0 1
31.63  100  1 0 2
35.33  38  1 1 0
53.85  22  1 1 4
61.11  31  2 1 2

Computed X-ray powder pattern of K2CaGeS4 for Cu Kα X-rays, from a crystal structure in Alexandria, relaxed with PBE.
Lines closer than 0.1° are merged.

Cell and atoms:
```
K2CaGeS4
1.0
8.2701 0.0000 0.0000
0.0000 8.7911 0.0000
0.0000 0.0000 7.0231
K Ca Ge S
4 2 2 8
Direct
0.2338 0.1584 0.0000
0.2662 0.8416 0.5000
0.7338 0.8416 0.5000
0.7662 0.1584 0.0000
0.0000 0.3818 0.4843
0.5000 0.6182 0.9843
0.0000 0.6666 0.9730
0.5000 0.3334 0.4730
0.0000 0.4330 0.0979
0.0000 0.6508 0.6576
0.2253 0.7994 0.0516
0.2747 0.2006 0.5516
0.5000 0.3492 0.1576
0.5000 0.5670 0.5979
0.7253 0.2006 0.5516
0.7747 0.7994 0.0516
```

Largest 6 diffraction maxima, low angle first, 2θ from 5° to 70°:
2θ/deg  I (rel.)  index
23.78  100  2 1 0
23.88  46  0 2 1
25.36  82  0 0 2
27.00  41  2 1 1
37.62  53  2 3 0
43.80  50  4 0 0

Computed X-ray powder pattern of CsNaHg2Bi for Cu Kα X-rays, from a crystal structure in Alexandria, relaxed with PBE.
Lines closer than 0.1° are merged.

Cell and atoms:
```
CsNaHg2Bi
1.0
5.1865 0.0000 0.0000
0.0000 5.4579 0.0000
0.0000 0.0000 12.9467
Cs Na Hg Bi
2 2 4 2
Direct
0.0000 0.0000 0.0000
0.5000 0.5000 0.5000
0.0000 0.5000 0.7425
0.5000 0.0000 0.2425
0.0000 0.0000 0.3851
0.0000 0.5000 0.2550
0.5000 0.0000 0.7550
0.5000 0.5000 0.8851
0.0000 0.0000 0.6240
0.5000 0.5000 0.1240
```

Largest 6 diffraction maxima, low angle first, 2θ from 5° to 70°:
2θ/deg  I (rel.)  index
17.63  57  0 1 1
26.33  63  0 1 3
26.88  68  1 0 3
27.43  100  1 1 2
32.82  62  0 2 0
36.64  80  1 1 4